No. 1
Theoretical PXRD pattern
Compound: Ba2AgBiN
Radiation: Cu Kα (λ = 1.5418 Å)
Structure: a structure optimized by DFT (PBE)
Kinematic intensities with the Lorentz-polarization factor, no thermal factor.

Structure:
a = 5.9448 Å, b = 5.9448 Å, c = 4.2087 Å
α = 90.00°, β = 90.00°, γ = 90.00°
Positions (direct):
Ba  0.0000  0.5000  0.0000
Ba  0.5000  0.0000  0.0000
Ag  0.0000  0.0000  0.5000
Bi  0.5000  0.5000  0.5000
N  0.0000  0.0000  0.0000

Principal peaks in the range 10° ≤ 2θ ≤ 90°, sorted by position:
d_spacing  2theta  I_rel
3.435  25.94  3
2.974  30.05  100
2.103  43.02  20
1.717  53.36  40
1.487  62.46  13
1.330  70.86  17
1.214  78.85  5
1.124  86.62  21

=====

No. 2
Theoretical PXRD pattern
Compound: Ba2Ag3BiO6
Radiation: Cu Kα (λ = 1.5418 Å)
Structure: a structure optimized by DFT (PBE)
Kinematic intensities with the Lorentz-polarization factor, no thermal factor.

Structure:
a = 4.1476 Å, b = 4.1476 Å, c = 12.7417 Å
α = 90.00°, β = 90.00°, γ = 90.00°
Positions (direct):
Ba  0.0000  0.0000  0.2020
Ba  0.0000  0.0000  0.7980
Ag  0.5000  0.5000  0.0000
Ag  0.5000  0.5000  0.3614
Ag  0.5000  0.5000  0.6386
Bi  0.0000  0.0000  0.5000
O  0.0000  0.5000  0.3811
O  0.0000  0.5000  0.6189
O  0.5000  0.0000  0.3811
O  0.5000  0.0000  0.6189
O  0.5000  0.5000  0.1612
O  0.5000  0.5000  0.8388

Principal peaks in the range 10° ≤ 2θ ≤ 90°, sorted by position:
d_spacing  2theta  I_rel
2.967  30.12  100
2.933  30.48  62
2.526  35.53  24
2.074  43.65  31
1.720  53.26  12
1.700  53.94  39
1.603  57.49  12
1.312  72.00  10

=====

No. 3
Theoretical PXRD pattern
Compound: BaAg2Bi2O6
Radiation: Cu Kα (λ = 1.5418 Å)
Structure: a structure optimized by DFT (PBE)
Kinematic intensities with the Lorentz-polarization factor, no thermal factor.

Structure:
a = 6.3591 Å, b = 6.3633 Å, c = 7.0667 Å
α = 104.04°, β = 99.85°, γ = 118.16°
Positions (direct):
Ba  0.0000  0.0000  0.0000
Ag  0.2012  0.8032  0.5001
Ag  0.7988  0.1968  0.4999
Bi  0.3395  0.6578  0.9971
Bi  0.6605  0.3422  0.0029
O  0.0688  0.6870  0.1800
O  0.3253  0.9269  0.8209
O  0.4439  0.4559  0.1702
O  0.5561  0.5441  0.8298
O  0.6747  0.0731  0.1791
O  0.9312  0.3130  0.8200

Principal peaks in the range 10° ≤ 2θ ≤ 90°, sorted by position:
d_spacing  2theta  I_rel
6.462  13.70  100
3.231  27.61  74
3.093  28.86  72
3.029  29.49  70
2.992  29.86  78
2.838  31.53  55
2.645  33.89  40
2.549  35.20  36

=====

No. 4
Theoretical PXRD pattern
Compound: Ba2Ag4Bi3Pb
Radiation: Cu Kα (λ = 1.5418 Å)
Structure: a structure optimized by DFT (PBE)
Kinematic intensities with the Lorentz-polarization factor, no thermal factor.

Structure:
a = 4.9299 Å, b = 4.9299 Å, c = 12.3744 Å
α = 90.00°, β = 90.00°, γ = 90.00°
Positions (direct):
Ba  0.0000  0.5000  0.2362
Ba  0.5000  0.0000  0.7638
Ag  0.0000  0.0000  0.0000
Ag  0.0000  0.5000  0.6393
Ag  0.5000  0.0000  0.3607
Ag  0.5000  0.5000  0.0000
Bi  0.0000  0.5000  0.8693
Bi  0.5000  0.0000  0.1307
Bi  0.5000  0.5000  0.5000
Pb  0.0000  0.0000  0.5000

Principal peaks in the range 10° ≤ 2θ ≤ 90°, sorted by position:
d_spacing  2theta  I_rel
3.164  28.21  46
3.037  29.41  100
2.465  36.45  72
2.314  38.92  52
2.212  40.80  28
1.944  46.72  23
1.743  52.50  25
1.512  61.32  25

=====

No. 5
Theoretical PXRD pattern
Compound: Ba2AgBiS4
Radiation: Cu Kα (λ = 1.5418 Å)
Structure: a structure optimized by DFT (PBE)
Kinematic intensities with the Lorentz-polarization factor, no thermal factor.

Structure:
a = 8.5682 Å, b = 8.5682 Å, c = 8.5682 Å
α = 121.49°, β = 118.37°, γ = 90.15°
Positions (direct):
Ba  0.0000  0.0000  0.0000
Ba  0.5000  0.0000  0.0000
Ba  0.5000  0.0000  0.5000
Ba  0.5000  0.5000  0.5000
Ag  0.0000  0.5000  0.5000
Ag  0.5000  0.5000  0.0000
Bi  0.0000  0.0000  0.5000
Bi  0.0000  0.5000  0.0000
S  0.2208  0.7425  0.4782
S  0.2357  0.2575  0.9782
S  0.2374  0.2542  0.5169
S  0.2374  0.7205  0.9831
S  0.7626  0.2795  0.0169
S  0.7626  0.7458  0.4831
S  0.7643  0.7425  0.0218
S  0.7792  0.2575  0.5218

Principal peaks in the range 10° ≤ 2θ ≤ 90°, sorted by position:
d_spacing  2theta  I_rel
3.553  25.06  39
3.443  25.88  36
3.028  29.50  100
2.195  41.13  13
2.141  42.21  49
1.851  49.23  14
1.777  51.44  13
1.354  69.41  21

=====

No. 6
Theoretical PXRD pattern
Compound: BaAg2BiS4
Radiation: Cu Kα (λ = 1.5418 Å)
Structure: a structure optimized by DFT (PBE)
Kinematic intensities with the Lorentz-polarization factor, no thermal factor.

Structure:
a = 6.4958 Å, b = 6.4958 Å, c = 6.4958 Å
α = 113.59°, β = 113.59°, γ = 101.52°
Positions (direct):
Ba  0.0000  0.0000  0.0000
Ag  0.2500  0.7500  0.5000
Ag  0.7500  0.2500  0.5000
Bi  0.5000  0.5000  0.0000
S  0.0783  0.5074  0.0000
S  0.4926  0.4926  0.5709
S  0.5074  0.0783  0.0000
S  0.9217  0.9217  0.4291

Principal peaks in the range 10° ≤ 2θ ≤ 90°, sorted by position:
d_spacing  2theta  I_rel
3.557  25.03  40
3.182  28.04  100
2.516  35.69  38
1.973  45.99  55
1.779  51.36  27
1.591  57.96  25
1.321  71.38  20
1.170  82.45  22

=====

No. 7
Theoretical PXRD pattern
Compound: Ba2AgBr5
Radiation: Cu Kα (λ = 1.5418 Å)
Structure: a structure optimized by DFT (PBE)
Kinematic intensities with the Lorentz-polarization factor, no thermal factor.

Structure:
a = 13.1713 Å, b = 10.1906 Å, c = 9.3534 Å
α = 90.00°, β = 105.40°, γ = 90.00°
Positions (direct):
Ba  0.0343  0.1253  0.2568
Ba  0.0343  0.3747  0.7568
Ba  0.3840  0.1358  0.0502
Ba  0.3840  0.3642  0.5502
Ba  0.6160  0.6358  0.4498
Ba  0.6160  0.8642  0.9498
Ba  0.9657  0.6253  0.2432
Ba  0.9657  0.8747  0.7432
Ag  0.3186  0.6281  0.1041
Ag  0.3186  0.8719  0.6041
Ag  0.6814  0.1281  0.3959
Ag  0.6814  0.3719  0.8959
Br  0.0947  0.6415  0.9800
Br  0.0947  0.8585  0.4800
Br  0.1144  0.1007  0.9381
Br  0.1144  0.3993  0.4381
Br  0.2863  0.1132  0.3355
Br  0.2863  0.3868  0.8355
Br  0.3535  0.6838  0.4225
Br  0.3535  0.8162  0.9225
Br  0.4431  0.0763  0.7291
Br  0.4431  0.4237  0.2291
Br  0.5569  0.5763  0.7709
Br  0.5569  0.9237  0.2709
Br  0.6465  0.1838  0.0775
Br  0.6465  0.3162  0.5775
Br  0.7137  0.6132  0.1645
Br  0.7137  0.8868  0.6645
Br  0.8856  0.6007  0.5619
Br  0.8856  0.8993  0.0619
Br  0.9053  0.1415  0.5200
Br  0.9053  0.3585  0.0200

Principal peaks in the range 10° ≤ 2θ ≤ 90°, sorted by position:
d_spacing  2theta  I_rel
4.436  20.02  52
4.239  20.96  77
4.027  22.07  43
2.997  29.81  36
2.880  31.05  100
2.659  33.71  91
2.548  35.22  56
2.184  41.35  22

=====

No. 8
Theoretical PXRD pattern
Compound: BaAg2Br
Radiation: Cu Kα (λ = 1.5418 Å)
Structure: a structure optimized by DFT (PBE)
Kinematic intensities with the Lorentz-polarization factor, no thermal factor.

Structure:
a = 4.8257 Å, b = 4.8257 Å, c = 7.2853 Å
α = 92.36°, β = 92.36°, γ = 59.93°
Positions (direct):
Ba  0.0000  0.0000  0.0000
Ag  0.3214  0.3214  0.6845
Ag  0.6551  0.6551  0.7008
Br  0.3428  0.3428  0.2370

Principal peaks in the range 10° ≤ 2θ ≤ 90°, sorted by position:
d_spacing  2theta  I_rel
7.277  12.16  52
3.659  24.32  63
3.639  24.46  22
3.550  25.09  38
2.810  31.84  19
2.776  32.25  45
2.711  33.04  36
2.411  37.30  100

=====

No. 9
Theoretical PXRD pattern
Compound: BaAgBr2
Radiation: Cu Kα (λ = 1.5418 Å)
Structure: a structure optimized by DFT (PBE)
Kinematic intensities with the Lorentz-polarization factor, no thermal factor.

Structure:
a = 3.9619 Å, b = 4.0461 Å, c = 9.7611 Å
α = 90.00°, β = 90.90°, γ = 90.00°
Positions (direct):
Ba  0.0000  0.0000  0.0000
Ag  0.5000  0.0000  0.5000
Br  0.4923  0.5000  0.8152
Br  0.5077  0.5000  0.1848

Principal peaks in the range 10° ≤ 2θ ≤ 90°, sorted by position:
d_spacing  2theta  I_rel
4.880  18.18  20
3.651  24.38  20
3.115  28.66  100
2.831  31.61  20
2.727  32.85  55
2.710  33.05  49
2.534  35.42  49
2.495  36.00  33

=====

No. 10
Theoretical PXRD pattern
Compound: CsBa3Ag4Br12
Radiation: Cu Kα (λ = 1.5418 Å)
Structure: a structure optimized by DFT (PBE)
Kinematic intensities with the Lorentz-polarization factor, no thermal factor.

Structure:
a = 10.1877 Å, b = 10.1877 Å, c = 10.1877 Å
α = 104.30°, β = 104.30°, γ = 104.30°
Positions (direct):
Cs  0.0000  0.0000  0.0000
Ba  0.0000  0.5525  0.4475
Ba  0.4475  0.0000  0.5525
Ba  0.5525  0.4475  0.0000
Ag  0.0682  0.5000  0.9318
Ag  0.5000  0.5000  0.5000
Ag  0.5000  0.9318  0.0682
Ag  0.9318  0.0682  0.5000
Br  0.0076  0.2272  0.3561
Br  0.1007  0.8993  0.5000
Br  0.2272  0.3561  0.0076
Br  0.3388  0.6612  0.5000
Br  0.3561  0.0076  0.2272
Br  0.5000  0.1007  0.8993
Br  0.5000  0.3388  0.6612
Br  0.6439  0.7728  0.9924
Br  0.6612  0.5000  0.3388
Br  0.7728  0.9924  0.6439
Br  0.8993  0.5000  0.1007
Br  0.9924  0.6439  0.7728

Principal peaks in the range 10° ≤ 2θ ≤ 90°, sorted by position:
d_spacing  2theta  I_rel
4.856  18.27  39
4.662  19.03  100
4.184  21.23  20
4.029  22.06  24
3.291  27.10  35
2.861  31.26  24
2.456  36.58  35
2.231  40.43  27

=====

No. 11
Theoretical PXRD pattern
Compound: Cs3BaAg2Br9
Radiation: Cu Kα (λ = 1.5418 Å)
Structure: a structure optimized by DFT (PBE)
Kinematic intensities with the Lorentz-polarization factor, no thermal factor.

Structure:
a = 8.0137 Å, b = 8.0137 Å, c = 10.3680 Å
α = 90.00°, β = 90.00°, γ = 120.00°
Positions (direct):
Cs  0.0000  0.0000  0.0000
Cs  0.3333  0.6667  0.7055
Cs  0.6667  0.3333  0.2945
Ba  0.0000  0.0000  0.5000
Ag  0.3333  0.6667  0.1480
Ag  0.6667  0.3333  0.8520
Br  0.0000  0.5000  0.0000
Br  0.1730  0.3460  0.3031
Br  0.1730  0.8270  0.3031
Br  0.3460  0.1730  0.6969
Br  0.5000  0.0000  0.0000
Br  0.5000  0.5000  0.0000
Br  0.6540  0.8270  0.3031
Br  0.8270  0.1730  0.6969
Br  0.8270  0.6540  0.6969

Principal peaks in the range 10° ≤ 2θ ≤ 90°, sorted by position:
d_spacing  2theta  I_rel
4.153  21.39  29
4.007  22.19  28
3.291  27.10  41
2.884  31.01  100
2.076  43.59  30
2.003  45.26  36
1.645  55.88  18
1.271  74.65  15

=====

No. 12
Theoretical PXRD pattern
Compound: BaCuAgBr5
Radiation: Cu Kα (λ = 1.5418 Å)
Structure: a structure optimized by DFT (PBE)
Kinematic intensities with the Lorentz-polarization factor, no thermal factor.

Structure:
a = 7.9041 Å, b = 7.9041 Å, c = 9.7514 Å
α = 102.01°, β = 102.01°, γ = 113.07°
Positions (direct):
Ba  0.1737  0.8263  0.7500
Ba  0.8263  0.1737  0.2500
Cu  0.1569  0.8431  0.2500
Cu  0.8431  0.1569  0.7500
Ag  0.5000  0.5000  0.0000
Ag  0.5000  0.5000  0.5000
Br  0.1328  0.2108  0.9360
Br  0.1796  0.6385  0.4028
Br  0.2108  0.1328  0.4360
Br  0.3615  0.8204  0.0972
Br  0.4231  0.5769  0.7500
Br  0.5769  0.4231  0.2500
Br  0.6385  0.1796  0.9028
Br  0.7892  0.8672  0.5640
Br  0.8204  0.3615  0.5972
Br  0.8672  0.7892  0.0640

Principal peaks in the range 10° ≤ 2θ ≤ 90°, sorted by position:
d_spacing  2theta  I_rel
4.497  19.74  78
4.036  22.02  100
3.861  23.04  57
3.725  23.89  54
3.339  26.70  62
3.156  28.28  62
2.663  33.66  59
2.295  39.26  64

=====

No. 13
Theoretical PXRD pattern
Compound: BaMnAg2Br8
Radiation: Cu Kα (λ = 1.5418 Å)
Structure: a structure optimized by DFT (PBE)
Kinematic intensities with the Lorentz-polarization factor, no thermal factor.

Structure:
a = 6.6088 Å, b = 7.0929 Å, c = 8.8785 Å
α = 92.50°, β = 93.10°, γ = 110.39°
Positions (direct):
Ba  0.0000  0.0000  0.0000
Mn  0.0000  0.0000  0.5000
Ag  0.0413  0.5137  0.2279
Ag  0.9587  0.4863  0.7721
Br  0.2067  0.7744  0.4695
Br  0.2357  0.2337  0.3246
Br  0.2618  0.1888  0.7091
Br  0.2785  0.6976  0.9820
Br  0.7215  0.3024  0.0180
Br  0.7382  0.8112  0.2909
Br  0.7643  0.7663  0.6754
Br  0.7933  0.2256  0.5305

Principal peaks in the range 10° ≤ 2θ ≤ 90°, sorted by position:
d_spacing  2theta  I_rel
6.178  14.34  76
3.476  25.63  39
3.054  29.25  66
2.805  31.91  100
2.622  34.20  17
2.034  44.55  17
1.945  46.70  19
1.926  47.20  22